Computed PXRD pattern of ZnCu4W5O20 for Cu Kα (weighted mean of Kα1 and Kα2), from a cell relaxed with GGA+U.
Lines closer than 0.1° are merged.

Principal peaks in the range 2θ = 10–90°, low angle first:
2θ (°)	I (rel.)
18.72	69
22.57	53
22.79	32
23.87	32
25.42	50
27.73	100
30.04	77
30.97	67
31.47	59
34.49	47
35.96	31
36.10	44

Cell and atoms:
```
data_ZnCu4W5O20
_chemical_formula_sum 'Zn2 Cu8 W10 O40'
_symmetry_space_group_name_H-M 'P 1'
_symmetry_Int_Tables_number 1
_cell_length_a 4.7843
_cell_length_b 7.5834
_cell_length_c 19.6510
_cell_angle_alpha 88.64
_cell_angle_beta 83.19
_cell_angle_gamma 86.92
loop_
_symmetry_equiv_pos_as_xyz
'x,y,z'
loop_
_atom_site_label
_atom_site_fract_x
_atom_site_fract_y
_atom_site_fract_z
Zn1 0.0000 0.0000 0.0000
Zn2 0.1865 0.5950 0.7996
Cu1 0.0052 0.4004 0.0243
Cu2 0.1867 0.9983 0.8264
Cu3 0.3719 0.5936 0.6288
Cu4 0.4240 0.2083 0.5889
Cu5 0.5849 0.1945 0.4275
Cu6 0.6344 0.8099 0.3893
Cu7 0.7941 0.7961 0.2273
Cu8 0.8476 0.4133 0.1880
W1 0.0160 0.5013 0.4900
W2 0.2075 0.5051 0.3257
W3 0.2285 0.1023 0.2897
W4 0.4135 0.1094 0.1253
W5 0.4402 0.7008 0.0879
W6 0.6013 0.7084 0.9233
W7 0.6242 0.2978 0.8893
W8 0.7890 0.3026 0.7242
W9 0.8070 0.8985 0.6912
W10 0.9947 0.9035 0.5265
O1 0.0088 0.5713 0.2502
O2 0.0101 0.8391 0.7652
O3 0.0286 0.4810 0.7216
O4 0.0394 0.1325 0.6785
O5 0.1061 0.8010 0.6185
O6 0.1162 0.2052 0.1965
O7 0.1932 0.8748 0.1333
O8 0.1951 0.5253 0.0899
O9 0.2103 0.1773 0.0520
O10 0.2148 0.4349 0.5648
O11 0.2356 0.0824 0.5249
O12 0.2475 0.7345 0.4798
O13 0.3155 0.8023 0.9970
O14 0.3185 0.4034 0.4178
O15 0.3784 0.1225 0.8930
O16 0.3786 0.4742 0.9345
O17 0.3944 0.7750 0.8512
O18 0.4256 0.0360 0.3648
O19 0.4479 0.6843 0.3245
O20 0.4598 0.3359 0.2793
O21 0.4999 0.3980 0.7979
O22 0.5290 0.0052 0.2172
O23 0.5552 0.0696 0.7364
O24 0.5653 0.7201 0.6924
O25 0.5855 0.3679 0.6500
O26 0.6384 0.6390 0.1635
O27 0.6558 0.2868 0.1245
O28 0.6754 0.9414 0.0759
O29 0.6935 0.0002 0.5975
O30 0.7348 0.6061 0.0160
O31 0.7624 0.6694 0.5355
O32 0.7773 0.3217 0.4900
O33 0.7965 0.9692 0.4508
O34 0.8288 0.2435 0.9639
O35 0.8425 0.8851 0.9218
O36 0.8607 0.5390 0.8752
O37 0.9058 0.6027 0.3968
O38 0.9180 0.2028 0.8171
O39 0.9748 0.2711 0.3349
O40 0.9884 0.9238 0.2895
```